1.
Diffraction record for Pa2BiI8. The XRD peak list is theoretical, not measured: it uses a GGA-PBE-relaxed structure and copper Kα.
Neutral-atom scattering factors, no anomalous dispersion.

Top 6 peaks for 2θ from 10° to 90°, in order of rising 2θ:
hkl 1 1 0, 2θ = 10.79°, intensity 100.0
hkl 0 2 0, 2θ = 13.00°, intensity 51.3
hkl 0 0 2, 2θ = 18.29°, intensity 30.5
hkl 0 4 0, 2θ = 26.17°, intensity 36.4
hkl 3 1 -1, 2θ = 27.62°, intensity 53.2
hkl 0 2 3, 2θ = 30.61°, intensity 32.9

Structure:
```
data_Pa2BiI8
_symmetry_space_group_name_H-M 'C 1 2/m 1'
_symmetry_Int_Tables_number 12
_cell_length_a 10.3124
_cell_length_b 13.6229
_cell_length_c 9.7408
_cell_angle_alpha 90.00
_cell_angle_beta 95.23
_cell_angle_gamma 90.00
loop_
_symmetry_equiv_pos_as_xyz
'x,y,z'
'-x,-y,-z'
'-x,y,-z'
'x,-y,z'
'x+1/2,y+1/2,z'
'-x+1/2,-y+1/2,-z'
'-x+1/2,y+1/2,-z'
'x+1/2,-y+1/2,z'
loop_
_atom_site_label
_atom_site_type_symbol
_atom_site_fract_x
_atom_site_fract_y
_atom_site_fract_z
Pa1 Pa 0.1100 0.0000 0.3021
Bi1 Bi 0.0000 0.0000 0.0000
I1 I 0.0746 0.2050 0.2122
I2 I 0.1114 0.5000 0.7240
I3 I 0.1783 0.0000 0.6171
```

2.
Diffraction record for Zn3Cu5Ir. The XRD peak list is theoretical, not measured: it uses a GGA-PBE-relaxed structure and copper Kα.
Neutral-atom scattering factors, no anomalous dispersion.

Top 6 peaks for 2θ from 10° to 90°, in order of rising 2θ:
hkl 1 1 0, 2θ = 18.35°, intensity 26.3
hkl 2 2 0, 2θ = 37.19°, intensity 63.2
hkl 2 1 3, 2θ = 38.41°, intensity 32.4
hkl 2 0 4, 2θ = 42.30°, intensity 100.0
hkl 3 1 2, 2θ = 45.08°, intensity 28.6
hkl 4 2 4, 2θ = 70.55°, intensity 23.1

Structure:
```
data_Zn3Cu5Ir
_symmetry_space_group_name_H-M 'I 4/m c m'
_symmetry_Int_Tables_number 140
_symmetry_space_group_name_Hall '-I 4 2c'
_cell_length_a 6.8388
_cell_length_b 6.8388
_cell_length_c 10.9459
_cell_angle_alpha 90.00
_cell_angle_beta 90.00
_cell_angle_gamma 90.00
loop_
_atom_site_label
_atom_site_type_symbol
_atom_site_fract_x
_atom_site_fract_y
_atom_site_fract_z
Zn1 Zn 0.0000 0.0000 0.2500
Zn2 Zn 0.1146 0.3854 0.0000
Cu1 Cu 0.0000 0.0000 0.0000
Cu2 Cu 0.2093 0.2907 0.3639
Ir1 Ir 0.0000 0.5000 0.2500
```

3.
Diffraction record for Ge2SbS4. The XRD peak list is theoretical, not measured: it uses a GGA-PBE-relaxed structure and copper Kα.
Neutral-atom scattering factors, no anomalous dispersion.

Top 6 peaks for 2θ from 10° to 90°, in order of rising 2θ:
hkl 1 0 1, 2θ = 18.35°, intensity 86.9
hkl 2 0 0, 2θ = 23.60°, intensity 61.5
hkl 1 2 1, 2θ = 30.06°, intensity 77.9
hkl 1 1 2, 2θ = 33.03°, intensity 73.6
hkl 2 2 0, 2θ = 33.63°, intensity 57.2
hkl 1 3 2, 2θ = 47.85°, intensity 100.0

Structure:
```
data_Ge2SbS4
_symmetry_space_group_name_H-M 'I 4/m'
_symmetry_Int_Tables_number 87
_symmetry_space_group_name_Hall '-I 4'
_cell_length_a 7.5386
_cell_length_b 7.5386
_cell_length_c 6.2990
_cell_angle_alpha 90.00
_cell_angle_beta 90.00
_cell_angle_gamma 90.00
loop_
_atom_site_label
_atom_site_type_symbol
_atom_site_fract_x
_atom_site_fract_y
_atom_site_fract_z
Ge1 Ge 0.0000 0.5000 0.2500
Sb1 Sb 0.0000 0.0000 0.0000
S1 S 0.1624 0.3277 0.0000
```